This entry pairs a crystal structure of K3NbSe4 with its simulated XRD peak list. Radiation: Cu Kα. Structure: a cell relaxed with PBE.

Main lines, by intensity (2θ = 15–90°):
2theta	intensity
29.90	100
28.14	62
31.25	45
25.57	41
20.21	41
15.63	35
28.86	34
29.62	33
36.46	29
31.55	28

Structure:
Cell lengths 9.771, 11.342, 9.909 Å; angles 90.00, 90.00, 90.00 degrees
Positions (direct):
K 0.059 0.048 0.208
K 0.059 0.452 0.208
K 0.128 0.750 0.417
K 0.372 0.250 0.917
K 0.441 0.548 0.708
K 0.441 0.952 0.708
K 0.559 0.048 0.292
K 0.559 0.452 0.292
K 0.628 0.750 0.083
K 0.872 0.250 0.583
K 0.941 0.548 0.792
K 0.941 0.952 0.792
Nb 0.213 0.750 0.986
Nb 0.287 0.250 0.486
Nb 0.713 0.750 0.514
Nb 0.787 0.250 0.014
Se 0.013 0.250 0.913
Se 0.165 0.074 0.552
Se 0.165 0.426 0.552
Se 0.189 0.750 0.743
Se 0.311 0.250 0.243
Se 0.335 0.574 0.052
Se 0.335 0.926 0.052
Se 0.487 0.750 0.413
Se 0.513 0.250 0.587
Se 0.665 0.074 0.948
Se 0.665 0.426 0.948
Se 0.689 0.750 0.757
Se 0.811 0.250 0.257
Se 0.835 0.574 0.448
Se 0.835 0.926 0.448
Se 0.987 0.750 0.087